# SrScCd2O4
Computed powder diffractogram, Cu Kα. Input: DFT lattice parameters and positions (PBE).
Intensities are scaled so that the largest is 1000.

Most intense lines, 2θ from 15° to 90°, sorted by position:
two_theta	intensity
19.19	99
20.51	101
28.70	340
29.63	286
33.15	1000
41.72	356
41.94	94
53.74	266
54.84	254
69.58	100

Atomic structure:
Unit cell a=5.544 b=5.544 c=5.544 alpha=114.10 beta=111.75 gamma=102.77
Fractional positions:
1 Sr 0.000 0.000 0.000
2 Sc 0.500 0.500 0.000
3 Cd 0.216 0.716 0.500
4 Cd 0.784 0.284 0.500
5 O 0.147 0.512 0.022
6 O 0.489 0.125 0.978
7 O 0.511 0.488 0.636
8 O 0.853 0.875 0.364


# SmCu12
Computed powder diffractogram, Cu Kα. Input: DFT lattice parameters and positions (PBE).
Intensities are scaled so that the largest is 1000.

Most intense lines, 2θ from 15° to 90°, sorted by position:
two_theta	intensity
29.81	190
36.70	282
36.91	110
42.59	1000
42.80	459
47.89	180
48.09	229
70.42	127
77.92	130
78.05	123

Atomic structure:
Unit cell a=6.484 b=6.484 c=6.484 alpha=98.11 beta=98.11 gamma=135.88
Fractional positions:
1 Sm 0.000 0.000 0.000
2 Cu 0.000 0.000 0.500
3 Cu 0.000 0.356 0.356
4 Cu 0.000 0.500 0.000
5 Cu 0.000 0.644 0.644
6 Cu 0.275 0.500 0.775
7 Cu 0.356 0.000 0.356
8 Cu 0.500 0.000 0.000
9 Cu 0.500 0.275 0.775
10 Cu 0.500 0.500 0.500
11 Cu 0.500 0.725 0.225
12 Cu 0.644 0.000 0.644
13 Cu 0.725 0.500 0.225


# NaSr2ReN4
Computed powder diffractogram, Cu Kα. Input: DFT lattice parameters and positions (PBE).
Intensities are scaled so that the largest is 1000.

Most intense lines, 2θ from 15° to 90°, sorted by position:
two_theta	intensity
18.67	779
29.55	547
31.29	1000
35.18	259
42.27	225
48.97	112
53.52	399
56.76	170
65.28	121
70.45	111

Atomic structure:
Unit cell a=7.688 b=6.055 c=6.040 alpha=90.00 beta=90.00 gamma=90.00
Fractional positions:
1 Na 0.000 0.234 0.000
2 Na 0.500 0.766 0.500
3 Sr 0.245 0.714 0.015
4 Sr 0.255 0.286 0.515
5 Sr 0.745 0.286 0.515
6 Sr 0.755 0.714 0.015
7 Re 0.000 0.726 0.480
8 Re 0.500 0.274 0.980
9 N 0.000 0.505 0.271
10 N 0.000 0.578 0.751
11 N 0.199 0.884 0.434
12 N 0.301 0.116 0.934
13 N 0.500 0.422 0.251
14 N 0.500 0.495 0.771
15 N 0.699 0.116 0.934
16 N 0.801 0.884 0.434


# As2RhAu
Computed powder diffractogram, Cu Kα. Input: DFT lattice parameters and positions (PBE).
Intensities are scaled so that the largest is 1000.

Most intense lines, 2θ from 15° to 90°, sorted by position:
two_theta	intensity
23.32	162
33.67	128
34.87	538
35.67	1000
42.17	287
46.48	487
47.69	216
54.75	273
70.80	142
73.61	165

Atomic structure:
Unit cell a=4.182 b=4.182 c=5.987 alpha=99.99 beta=99.99 gamma=43.66
Fractional positions:
1 As 0.235 0.235 0.217
2 As 0.765 0.765 0.783
3 Rh 0.500 0.500 0.000
4 Au 0.000 0.000 0.500


# NdBeIr
Computed powder diffractogram, Cu Kα. Input: DFT lattice parameters and positions (PBE).
Intensities are scaled so that the largest is 1000.

Most intense lines, 2θ from 15° to 90°, sorted by position:
two_theta	intensity
18.90	214
24.49	498
26.86	582
31.12	548
34.00	456
36.69	1000
46.03	339
50.20	224
52.17	273
59.63	211

Atomic structure:
Unit cell a=6.640 b=6.640 c=5.743 alpha=90.00 beta=90.00 gamma=90.00
Fractional positions:
1 Nd 0.223 0.223 0.000
2 Nd 0.277 0.723 0.250
3 Nd 0.723 0.277 0.750
4 Nd 0.777 0.777 0.500
5 Be 0.107 0.107 0.500
6 Be 0.393 0.607 0.750
7 Be 0.607 0.393 0.250
8 Be 0.893 0.893 0.000
9 Ir 0.149 0.851 0.750
10 Ir 0.351 0.351 0.500
11 Ir 0.649 0.649 0.000
12 Ir 0.851 0.149 0.250


# Nd2AlSnPt6
Computed powder diffractogram, Cu Kα. Input: DFT lattice parameters and positions (PBE).
Intensities are scaled so that the largest is 1000.

Most intense lines, 2θ from 15° to 90°, sorted by position:
two_theta	intensity
19.48	258
21.61	665
37.40	916
38.62	372
39.56	1000
40.96	291
47.38	338
62.71	169
66.01	292
70.35	161

Atomic structure:
Unit cell a=8.849 b=8.849 c=8.849 alpha=37.31 beta=37.31 gamma=37.31
Fractional positions:
1 Nd 0.203 0.203 0.203
2 Nd 0.797 0.797 0.797
3 Al 0.500 0.500 0.500
4 Sn 0.000 0.000 0.000
5 Pt 0.245 0.744 0.744
6 Pt 0.256 0.256 0.755
7 Pt 0.256 0.755 0.256
8 Pt 0.744 0.245 0.744
9 Pt 0.744 0.744 0.245
10 Pt 0.755 0.256 0.256


# CrGaFeSe4
Computed powder diffractogram, Cu Kα. Input: DFT lattice parameters and positions (PBE).
Intensities are scaled so that the largest is 1000.

Most intense lines, 2θ from 15° to 90°, sorted by position:
two_theta	intensity
20.90	262
27.04	164
29.40	1000
42.92	458
47.58	486
52.50	121
53.26	232
56.93	145
66.00	122
85.34	121

Atomic structure:
Unit cell a=12.939 b=12.939 c=12.939 alpha=16.99 beta=16.99 gamma=16.99
Fractional positions:
1 Cr 0.000 0.000 0.000
2 Ga 0.431 0.431 0.431
3 Fe 0.569 0.569 0.569
4 Se 0.212 0.212 0.212
5 Se 0.368 0.368 0.368
6 Se 0.633 0.633 0.633
7 Se 0.794 0.794 0.794


# BaAsRhPb
Computed powder diffractogram, Cu Kα. Input: DFT lattice parameters and positions (PBE).
Intensities are scaled so that the largest is 1000.

Most intense lines, 2θ from 15° to 90°, sorted by position:
two_theta	intensity
29.92	452
30.40	273
32.64	1000
41.32	404
42.12	187
51.88	209
54.93	299
68.37	136
69.87	225
85.61	175

Atomic structure:
Unit cell a=4.370 b=4.370 c=11.926 alpha=90.00 beta=90.00 gamma=90.00
Fractional positions:
1 Ba 0.250 0.250 0.235
2 Ba 0.750 0.750 0.765
3 As 0.250 0.250 0.897
4 As 0.750 0.750 0.103
5 Rh 0.250 0.750 0.000
6 Rh 0.750 0.250 0.000
7 Pb 0.250 0.750 0.500
8 Pb 0.750 0.250 0.500


# Cr8FeCo2CuS16
Computed powder diffractogram, Cu Kα. Input: DFT lattice parameters and positions (PBE).
Intensities are scaled so that the largest is 1000.

Most intense lines, 2θ from 15° to 90°, sorted by position:
two_theta	intensity
25.59	344
30.10	1000
36.50	476
45.10	132
48.01	431
52.57	884
61.78	109
73.93	162
77.56	126
88.89	115

Atomic structure:
Unit cell a=12.059 b=12.059 c=12.059 alpha=33.56 beta=33.56 gamma=33.56
Fractional positions:
1 Cr 0.000 0.000 0.000
2 Cr 0.248 0.248 0.753
3 Cr 0.248 0.753 0.248
4 Cr 0.251 0.745 0.745
5 Cr 0.498 0.498 0.498
6 Cr 0.745 0.251 0.745
7 Cr 0.745 0.745 0.251
8 Cr 0.753 0.248 0.248
9 Fe 0.311 0.311 0.311
10 Co 0.187 0.187 0.187
11 Co 0.811 0.811 0.811
12 Cu 0.686 0.686 0.686
13 S 0.111 0.111 0.643
14 S 0.111 0.643 0.111
15 S 0.121 0.121 0.121
16 S 0.138 0.615 0.615
17 S 0.354 0.886 0.886
18 S 0.378 0.378 0.378
19 S 0.382 0.382 0.857
20 S 0.382 0.857 0.382
21 S 0.615 0.138 0.615
22 S 0.615 0.615 0.138
23 S 0.619 0.619 0.619
24 S 0.643 0.111 0.111
25 S 0.857 0.382 0.382
26 S 0.876 0.876 0.876
27 S 0.886 0.354 0.886
28 S 0.886 0.886 0.354